Record 1
Diffraction record for FePS. The powder diffractogram is simulated, not measured: it uses DFT lattice parameters and positions (GGA-PBE) and Cu Kα (weighted mean of Kα1 and Kα2).
Kinematic intensities with the Lorentz-polarization factor, no thermal factor.

Atomic structure:
```
data_FePS
_chemical_formula_sum 'Fe4 P4 S4'
_cell_length_a 5.552
_cell_length_b 5.520
_cell_length_c 5.590
_cell_angle_alpha 90.00
_cell_angle_beta 111.51
_cell_angle_gamma 90.00
_symmetry_space_group_name_H-M 'P 1 21/c 1'
_symmetry_Int_Tables_number 14
loop_
_symmetry_equiv_pos_as_xyz
'x,y,z'
'-x,-y,-z'
'-x,y+1/2,-z+1/2'
'x,-y+1/2,z+1/2'
loop_
_atom_site_label
_atom_site_type_symbol
_atom_site_fract_x
_atom_site_fract_y
_atom_site_fract_z
Fe1 Fe 0.224 0.000 0.209
P1 P 0.353 0.127 0.630
S1 S 0.160 0.628 0.319
```

Most intense lines, 2θ = 10–90°, by intensity:
3.536 Å, I = 100
2.583 Å, I = 73
2.600 Å, I = 68
2.367 Å, I = 60
1.753 Å, I = 53
2.760 Å, I = 49
1.587 Å, I = 48
1.765 Å, I = 42
1.709 Å, I = 36
2.339 Å, I = 31

---

Record 2
Diffraction record for FeP2S6. The powder diffractogram is simulated, not measured: it uses DFT lattice parameters and positions (GGA-PBE) and Cu Kα (weighted mean of Kα1 and Kα2).
Kinematic intensities with the Lorentz-polarization factor, no thermal factor.

Atomic structure:
```
data_FeP2S6
_chemical_formula_sum 'Fe2 P4 S12'
_cell_length_a 5.871
_cell_length_b 10.170
_cell_length_c 7.028
_cell_angle_alpha 90.00
_cell_angle_beta 90.15
_cell_angle_gamma 90.00
_symmetry_space_group_name_H-M 'C 1 2 1'
_symmetry_Int_Tables_number 5
loop_
_symmetry_equiv_pos_as_xyz
'x,y,z'
'-x,y,-z'
'x+1/2,y+1/2,z'
'-x+1/2,y+1/2,-z'
loop_
_atom_site_label
_atom_site_type_symbol
_atom_site_fract_x
_atom_site_fract_y
_atom_site_fract_z
Fe1 Fe 0.000 0.000 0.000
P1 P 0.001 0.326 0.847
S1 S 0.135 0.145 0.221
S2 S 0.164 0.847 0.222
S3 S 0.204 0.483 0.222
```

Most intense lines, 2θ = 10–90°, by intensity:
7.028 Å, I = 100
2.709 Å, I = 96
5.085 Å, I = 58
2.253 Å, I = 31
4.119 Å, I = 30
1.695 Å, I = 26
3.514 Å, I = 25
2.060 Å, I = 16
2.128 Å, I = 13
1.854 Å, I = 13

---

Record 3
Diffraction record for ScFe4P2. The powder diffractogram is simulated, not measured: it uses DFT lattice parameters and positions (GGA-PBE) and Cu Kα (weighted mean of Kα1 and Kα2).
Kinematic intensities with the Lorentz-polarization factor, no thermal factor.

Atomic structure:
```
data_ScFe4P2
_chemical_formula_sum 'Sc2 Fe8 P4'
_cell_length_a 6.868
_cell_length_b 6.868
_cell_length_c 3.601
_cell_angle_alpha 90.00
_cell_angle_beta 90.00
_cell_angle_gamma 90.00
_symmetry_space_group_name_H-M 'P 42/m n m'
_symmetry_Int_Tables_number 136
_symmetry_space_group_name_Hall '-P 4n 2n'
loop_
_atom_site_label
_atom_site_type_symbol
_atom_site_fract_x
_atom_site_fract_y
_atom_site_fract_z
Sc1 Sc 0.000 0.000 0.000
Fe1 Fe 0.084 0.340 0.500
P1 P 0.219 0.781 0.500
```

Most intense lines, 2θ = 10–90°, by intensity:
2.337 Å, I = 100
2.013 Å, I = 70
1.860 Å, I = 69
2.172 Å, I = 46
4.857 Å, I = 40
1.801 Å, I = 37
1.666 Å, I = 29
1.223 Å, I = 19
1.386 Å, I = 19
1.283 Å, I = 18

---

Record 4
Diffraction record for FePSe3. The powder diffractogram is simulated, not measured: it uses DFT lattice parameters and positions (GGA-PBE) and Cu Kα (weighted mean of Kα1 and Kα2).
Kinematic intensities with the Lorentz-polarization factor, no thermal factor.

Atomic structure:
```
data_FePSe3
_chemical_formula_sum 'Fe6 P6 Se18'
_cell_length_a 6.1662
_cell_length_b 6.1662
_cell_length_c 19.0382
_cell_angle_alpha 90.00
_cell_angle_beta 90.00
_cell_angle_gamma 120.00
_symmetry_space_group_name_H-M 'R -3'
_symmetry_Int_Tables_number 148
_symmetry_space_group_name_Hall '-R 3'
loop_
_atom_site_label
_atom_site_type_symbol
_atom_site_fract_x
_atom_site_fract_y
_atom_site_fract_z
Fe1 Fe 0.0000 0.0000 0.1645
P1 P 0.0000 0.0000 0.4430
Se1 Se 0.0058 0.3793 0.4251
```

Most intense lines, 2θ = 10–90°, by intensity:
2.773 Å, I = 100
6.346 Å, I = 43
2.211 Å, I = 34
1.780 Å, I = 26
1.744 Å, I = 22
3.173 Å, I = 21
1.498 Å, I = 10
1.552 Å, I = 9
1.905 Å, I = 8
1.386 Å, I = 7

---

Record 5
Diffraction record for Fe2SiP. The powder diffractogram is simulated, not measured: it uses DFT lattice parameters and positions (GGA-PBE) and Cu Kα (weighted mean of Kα1 and Kα2).
Kinematic intensities with the Lorentz-polarization factor, no thermal factor.

Atomic structure:
```
data_Fe2SiP
_chemical_formula_sum 'Fe4 Si2 P2'
_cell_length_a 2.954
_cell_length_b 5.898
_cell_length_c 5.259
_cell_angle_alpha 90.00
_cell_angle_beta 90.00
_cell_angle_gamma 90.00
_symmetry_space_group_name_H-M 'P m c 21'
_symmetry_Int_Tables_number 26
loop_
_symmetry_equiv_pos_as_xyz
'x,y,z'
'-x,-y,z+1/2'
'-x,y,z'
'x,-y,z+1/2'
loop_
_atom_site_label
_atom_site_type_symbol
_atom_site_fract_x
_atom_site_fract_y
_atom_site_fract_z
Fe1 Fe 0.000 0.048 0.000
Fe2 Fe 0.500 0.442 0.997
Si1 Si 0.000 0.313 0.684
P1 P 0.500 0.189 0.314
```

Most intense lines, 2θ = 10–90°, by intensity:
1.864 Å, I = 100
2.641 Å, I = 74
1.963 Å, I = 62
1.940 Å, I = 56
1.842 Å, I = 35
2.360 Å, I = 33
1.637 Å, I = 31
2.630 Å, I = 28
1.477 Å, I = 22
1.180 Å, I = 19

---

Record 6
Diffraction record for Sm2Fe12P7. The powder diffractogram is simulated, not measured: it uses DFT lattice parameters and positions (GGA-PBE) and Cu Kα (weighted mean of Kα1 and Kα2).
Kinematic intensities with the Lorentz-polarization factor, no thermal factor.

Atomic structure:
```
data_Sm2Fe12P7
_chemical_formula_sum 'Sm2 Fe12 P7'
_cell_length_a 9.0249
_cell_length_b 9.0249
_cell_length_c 3.6591
_cell_angle_alpha 90.00
_cell_angle_beta 90.00
_cell_angle_gamma 120.00
_symmetry_space_group_name_H-M 'P -6'
_symmetry_Int_Tables_number 174
loop_
_symmetry_equiv_pos_as_xyz
'x,y,z'
'-x+y,-x,-z'
'-y,x-y,z'
'x,y,-z'
'-x+y,-x,z'
'-y,x-y,-z'
loop_
_atom_site_label
_atom_site_type_symbol
_atom_site_fract_x
_atom_site_fract_y
_atom_site_fract_z
Sm1 Sm 0.0000 0.0000 0.0000
Sm2 Sm 0.3333 0.6667 0.5000
Fe1 Fe 0.0490 0.2849 0.5000
Fe2 Fe 0.0933 0.7053 0.0000
Fe3 Fe 0.3931 0.1804 0.0000
Fe4 Fe 0.5472 0.4312 0.5000
P1 P 0.0730 0.4432 0.0000
P2 P 0.2692 0.2250 0.5000
P3 P 0.6667 0.3333 0.0000
```

Most intense lines, 2θ = 10–90°, by intensity:
2.299 Å, I = 100
1.830 Å, I = 18
1.706 Å, I = 15
3.314 Å, I = 12
1.610 Å, I = 12
2.605 Å, I = 12
1.127 Å, I = 11
1.248 Å, I = 11
1.865 Å, I = 10
2.954 Å, I = 10

---

Record 7
Diffraction record for SmFeP. The powder diffractogram is simulated, not measured: it uses DFT lattice parameters and positions (GGA-PBE) and Cu Kα (weighted mean of Kα1 and Kα2).
Kinematic intensities with the Lorentz-polarization factor, no thermal factor.

Atomic structure:
```
data_SmFeP
_chemical_formula_sum 'Sm2 Fe2 P2'
_cell_length_a 3.824
_cell_length_b 3.824
_cell_length_c 7.427
_cell_angle_alpha 90.00
_cell_angle_beta 90.00
_cell_angle_gamma 90.00
_symmetry_space_group_name_H-M 'P 4/n m m'
_symmetry_Int_Tables_number 129
loop_
_symmetry_equiv_pos_as_xyz
'x,y,z'
'-x,-y,-z'
'-y+1/2,x,z'
'y+1/2,-x,-z'
'-x+1/2,-y+1/2,z'
'x+1/2,y+1/2,-z'
'y,-x+1/2,z'
'-y,x+1/2,-z'
'x+1/2,-y,-z'
'-x+1/2,y,z'
'-y,-x,-z'
'y,x,z'
'-x,y+1/2,-z'
'x,-y+1/2,z'
'y+1/2,x+1/2,-z'
'-y+1/2,-x+1/2,z'
loop_
_atom_site_label
_atom_site_type_symbol
_atom_site_fract_x
_atom_site_fract_y
_atom_site_fract_z
Sm1 Sm 0.250 0.250 0.189
Fe1 Fe 0.250 0.750 0.500
P1 P 0.250 0.250 0.659
```

Most intense lines, 2θ = 10–90°, by intensity:
3.400 Å, I = 100
2.186 Å, I = 76
2.664 Å, I = 74
1.912 Å, I = 45
2.541 Å, I = 36
2.704 Å, I = 32
1.670 Å, I = 31
1.553 Å, I = 28
1.667 Å, I = 27
1.258 Å, I = 24

---

Record 8
Diffraction record for Tb2Fe12P7. The powder diffractogram is simulated, not measured: it uses DFT lattice parameters and positions (GGA-PBE) and Cu Kα (weighted mean of Kα1 and Kα2).
Kinematic intensities with the Lorentz-polarization factor, no thermal factor.

Atomic structure:
```
data_Tb2Fe12P7
_chemical_formula_sum 'Tb2 Fe12 P7'
_cell_length_a 8.966
_cell_length_b 3.637
_cell_length_c 8.973
_cell_angle_alpha 90.00
_cell_angle_beta 119.95
_cell_angle_gamma 90.00
_symmetry_space_group_name_H-M 'P 1 m 1'
_symmetry_Int_Tables_number 6
loop_
_symmetry_equiv_pos_as_xyz
'x,y,z'
'x,-y,z'
loop_
_atom_site_label
_atom_site_type_symbol
_atom_site_fract_x
_atom_site_fract_y
_atom_site_fract_z
Tb1 Tb 0.000 0.000 0.000
Tb2 Tb 0.333 0.500 0.667
Fe1 Fe 0.040 0.500 0.278
Fe2 Fe 0.098 0.000 0.717
Fe3 Fe 0.239 0.500 0.961
Fe4 Fe 0.283 0.000 0.382
Fe5 Fe 0.449 0.000 0.213
Fe6 Fe 0.512 0.500 0.453
Fe7 Fe 0.547 0.500 0.059
Fe8 Fe 0.618 0.000 0.902
Fe9 Fe 0.722 0.500 0.761
Fe10 Fe 0.764 0.000 0.551
Fe11 Fe 0.787 0.000 0.237
Fe12 Fe 0.941 0.500 0.488
P1 P 0.067 0.000 0.445
P2 P 0.258 0.500 0.220
P3 P 0.377 0.000 0.933
P4 P 0.556 0.000 0.623
P5 P 0.667 0.500 0.334
P6 P 0.780 0.500 0.038
P7 P 0.963 0.500 0.742
```

Most intense lines, 2θ = 10–90°, by intensity:
2.285 Å, I = 100
1.819 Å, I = 17
1.695 Å, I = 16
3.294 Å, I = 13
1.601 Å, I = 12
2.590 Å, I = 11
1.240 Å, I = 11
1.121 Å, I = 10
1.854 Å, I = 10
2.937 Å, I = 10